Entry 1:
This entry pairs a crystal structure of Li2Pr2HoIn2 with its calculated X-ray powder pattern. Radiation: CuKα. Structure: a cell relaxed with GGA-PBE.

```
Li2Pr2HoIn2
1.0
2.448 1.414 8.985
-2.448 1.414 8.985
0.000 -2.827 8.985
Li Pr Ho In
2 2 1 2
Direct
0.111 0.111 0.111
0.889 0.889 0.889
0.373 0.373 0.373
0.627 0.627 0.627
0.500 0.500 0.500
0.233 0.233 0.233
0.767 0.767 0.767
```

Most intense lines, 10 to 90 degrees two-theta, low angle first:
| 2θ/deg | I_rel |
| --- | --- |
| 21.21 | 91 |
| 31.38 | 94 |
| 33.98 | 94 |
| 36.71 | 100 |
| 49.05 | 27 |
| 50.86 | 41 |
| 62.80 | 25 |
| 64.33 | 62 |
| 66.10 | 18 |
| 87.90 | 27 |


Entry 2:
This entry pairs a crystal structure of CsZn5As4 with its calculated X-ray powder pattern. Radiation: CuKα. Structure: a cell relaxed with GGA-PBE.

```
CsZn5As4
1.0
6.005 -7.430 0.000
6.005 7.430 0.000
0.000 0.000 5.540
Cs Zn As
2 10 8
Direct
0.250 0.250 0.000
0.750 0.750 0.000
0.017 0.983 0.771
0.039 0.539 0.794
0.250 0.750 0.430
0.461 0.961 0.794
0.483 0.517 0.771
0.517 0.483 0.229
0.539 0.039 0.206
0.750 0.250 0.570
0.961 0.461 0.206
0.983 0.017 0.229
0.009 0.254 0.495
0.246 0.491 0.505
0.254 0.009 0.505
0.491 0.246 0.495
0.509 0.754 0.505
0.746 0.991 0.495
0.754 0.509 0.495
0.991 0.746 0.505
```

Most intense lines, 10 to 90 degrees two-theta, low angle first:
| 2θ/deg | I_rel |
| --- | --- |
| 16.00 | 32 |
| 19.99 | 28 |
| 21.83 | 29 |
| 28.94 | 79 |
| 32.63 | 35 |
| 33.96 | 47 |
| 37.76 | 73 |
| 38.56 | 100 |
| 49.04 | 27 |
| 51.80 | 25 |